(1)
# CsTa2F11
Theoretical powder X-ray diffraction pattern, copper Kα. Input: the PBE geometry in Alexandria.
No peak broadening, texture or thermal motion is included.

Top 10 peaks for 10 to 80 degrees two-theta, low angle first:
| 2theta | I_rel |
| --- | --- |
| 13.51 | 79.8 |
| 19.07 | 100.0 |
| 20.77 | 34.4 |
| 21.38 | 71.1 |
| 23.78 | 86.5 |
| 27.06 | 35.2 |
| 27.21 | 22.9 |
| 30.31 | 22.3 |
| 30.71 | 22.9 |
| 38.75 | 46.5 |

Cell and atoms:
```
CsTa2F11
1.0
-4.1910 5.3759 6.5538
4.1910 -5.3759 6.5538
4.1910 5.3759 -6.5538
Cs Ta F
2 4 22
Direct
0.2500 0.2500 0.0000
0.7500 0.7500 0.0000
0.1795 0.6003 0.7798
0.3205 0.1003 0.4207
0.6795 0.8997 0.5793
0.8205 0.3997 0.2202
0.0000 0.5000 0.5000
0.0030 0.3761 0.1745
0.0914 0.0005 0.2918
0.2014 0.3725 0.5738
0.2017 0.8286 0.8255
0.2087 0.5005 0.9090
0.2913 0.2003 0.2918
0.2983 0.1239 0.6269
0.2986 0.8725 0.1711
0.4086 0.7003 0.9090
0.4970 0.6714 0.3731
0.5000 0.0000 0.5000
0.5030 0.3286 0.6269
0.5914 0.2997 0.0910
0.7014 0.1275 0.8289
0.7017 0.8761 0.3731
0.7087 0.7997 0.7082
0.7913 0.4995 0.0910
0.7983 0.1714 0.1745
0.7986 0.6275 0.4262
0.9086 0.9995 0.7082
0.9970 0.6239 0.8255
```

***

(2)
# CsB6H6
Theoretical powder X-ray diffraction pattern, copper Kα. Input: the PBE geometry in Alexandria.
No peak broadening, texture or thermal motion is included.

Top 10 peaks for 10 to 80 degrees two-theta, low angle first:
| 2theta | I_rel |
| --- | --- |
| 13.56 | 19.9 |
| 15.67 | 57.9 |
| 22.24 | 100.0 |
| 27.32 | 36.2 |
| 31.65 | 17.3 |
| 35.51 | 64.9 |
| 39.03 | 37.6 |
| 48.30 | 28.1 |
| 51.09 | 18.0 |
| 61.36 | 23.4 |

Cell and atoms:
```
CsB6H6
1.0
0.0000 5.6534 5.6534
5.6534 0.0000 5.6534
5.6534 5.6534 0.0000
Cs B H
2 12 12
Direct
0.2500 0.2500 0.2500
0.7500 0.7500 0.7500
0.0483 0.2062 0.9517
0.0483 0.7938 0.2062
0.0483 0.9517 0.7938
0.2062 0.0483 0.7938
0.2062 0.7938 0.9517
0.2062 0.9517 0.0483
0.7938 0.0483 0.9517
0.7938 0.2062 0.0483
0.7938 0.9517 0.2062
0.9517 0.0483 0.2062
0.9517 0.2062 0.7938
0.9517 0.7938 0.0483
0.0845 0.3525 0.9155
0.0845 0.6475 0.3525
0.0845 0.9155 0.6475
0.3525 0.0845 0.6475
0.3525 0.6475 0.9155
0.3525 0.9155 0.0845
0.6475 0.0845 0.9155
0.6475 0.3525 0.0845
0.6475 0.9155 0.3525
0.9155 0.0845 0.3525
0.9155 0.3525 0.6475
0.9155 0.6475 0.0845
```

***

(3)
# Cs3AgBi4
Theoretical powder X-ray diffraction pattern, copper Kα. Input: the PBE geometry in Alexandria.
No peak broadening, texture or thermal motion is included.

Top 10 peaks for 10 to 80 degrees two-theta, low angle first:
| 2theta | I_rel |
| --- | --- |
| 11.79 | 58.3 |
| 13.60 | 49.6 |
| 14.45 | 32.8 |
| 27.22 | 40.2 |
| 28.05 | 48.3 |
| 29.95 | 100.0 |
| 30.52 | 81.5 |
| 32.11 | 40.2 |
| 33.38 | 49.9 |
| 46.82 | 34.4 |

Cell and atoms:
```
Cs3AgBi4
1.0
7.2241 0.0000 0.0000
0.0000 15.0126 0.0000
0.0000 0.0000 6.7133
Cs Ag Bi
6 2 8
Direct
0.2500 0.0030 0.1789
0.2500 0.2500 0.5552
0.2500 0.4970 0.1789
0.7500 0.5030 0.8211
0.7500 0.7500 0.4448
0.7500 0.9970 0.8211
0.2500 0.7500 0.3201
0.7500 0.2500 0.6799
0.0087 0.7500 0.9431
0.2500 0.6209 0.6690
0.2500 0.8791 0.6690
0.4913 0.7500 0.9431
0.5087 0.2500 0.0569
0.7500 0.1209 0.3310
0.7500 0.3791 0.3310
0.9913 0.2500 0.0569
```

***

(4)
# Sc2PaNi3
Theoretical powder X-ray diffraction pattern, copper Kα. Input: the PBE geometry in Alexandria.
No peak broadening, texture or thermal motion is included.

Top 10 peaks for 10 to 80 degrees two-theta, low angle first:
| 2theta | I_rel |
| --- | --- |
| 12.97 | 47.2 |
| 20.29 | 36.7 |
| 34.25 | 17.5 |
| 38.13 | 10.7 |
| 38.98 | 25.7 |
| 39.14 | 100.0 |
| 39.60 | 23.2 |
| 56.78 | 15.7 |
| 70.69 | 25.0 |
| 71.55 | 14.3 |

Cell and atoms:
```
Sc2PaNi3
1.0
4.6210 0.0000 0.0000
0.0000 13.6537 0.0000
0.0000 0.0000 3.2665
Sc Pa Ni
4 2 6
Direct
0.2500 0.0757 0.0010
0.2500 0.4243 0.0010
0.7500 0.5757 0.9990
0.7500 0.9243 0.9990
0.2500 0.7500 0.9989
0.7500 0.2500 0.0011
0.2500 0.2500 0.5015
0.2500 0.5943 0.4992
0.2500 0.9057 0.4992
0.7500 0.0943 0.5008
0.7500 0.4057 0.5008
0.7500 0.7500 0.4985
```

***

(5)
# Pu2Co2Au
Theoretical powder X-ray diffraction pattern, copper Kα. Input: the PBE geometry in Alexandria.
No peak broadening, texture or thermal motion is included.

Top 10 peaks for 10 to 80 degrees two-theta, low angle first:
| 2theta | I_rel |
| --- | --- |
| 30.87 | 50.4 |
| 34.79 | 100.0 |
| 35.62 | 70.1 |
| 39.54 | 20.1 |
| 40.68 | 31.0 |
| 48.83 | 20.0 |
| 49.34 | 19.4 |
| 58.59 | 24.0 |
| 59.34 | 17.0 |
| 61.89 | 29.1 |

Cell and atoms:
```
Pu2Co2Au
1.0
3.7301 0.0000 0.0000
0.0000 13.7902 0.0000
0.0000 0.0000 3.6941
Pu Co Au
4 4 2
Direct
0.0000 0.1347 0.0000
0.0000 0.8653 0.0000
0.5000 0.3653 0.0000
0.5000 0.6347 0.0000
0.0000 0.3058 0.5000
0.0000 0.6942 0.5000
0.5000 0.1942 0.5000
0.5000 0.8058 0.5000
0.0000 0.5000 0.5000
0.5000 0.0000 0.5000
```

***

(6)
# SrOsPd2
Theoretical powder X-ray diffraction pattern, copper Kα. Input: the PBE geometry in Alexandria.
No peak broadening, texture or thermal motion is included.

Top 10 peaks for 10 to 80 degrees two-theta, low angle first:
| 2theta | I_rel |
| --- | --- |
| 18.41 | 86.9 |
| 27.23 | 100.0 |
| 37.32 | 16.8 |
| 41.10 | 33.4 |
| 41.87 | 47.6 |
| 43.21 | 20.8 |
| 43.35 | 24.0 |
| 48.74 | 24.8 |
| 56.17 | 30.0 |
| 59.10 | 21.8 |

Cell and atoms:
```
SrOsPd2
1.0
5.0319 0.0000 0.0000
0.0000 5.0319 0.0000
0.0000 0.0000 16.7507
Sr Os Pd
4 4 8
Direct
0.0000 0.0000 0.0000
0.0000 0.5000 0.2500
0.5000 0.0000 0.7500
0.5000 0.5000 0.5000
0.0000 0.0000 0.5000
0.0000 0.5000 0.7500
0.5000 0.0000 0.2500
0.5000 0.5000 0.0000
0.0681 0.2500 0.6250
0.2500 0.5681 0.8750
0.2500 0.9319 0.3750
0.4319 0.2500 0.1250
0.5681 0.7500 0.1250
0.7500 0.0681 0.3750
0.7500 0.4319 0.8750
0.9319 0.7500 0.6250
```

***

(7)
# La5Dy4Tm
Theoretical powder X-ray diffraction pattern, copper Kα. Input: the PBE geometry in Alexandria.
No peak broadening, texture or thermal motion is included.

Top 10 peaks for 10 to 80 degrees two-theta, low angle first:
| 2theta | I_rel |
| --- | --- |
| 26.40 | 16.8 |
| 29.53 | 17.4 |
| 29.98 | 42.0 |
| 30.21 | 100.0 |
| 31.16 | 60.0 |
| 31.39 | 55.9 |
| 32.87 | 49.9 |
| 34.58 | 28.5 |
| 54.15 | 17.5 |
| 61.34 | 16.8 |

Cell and atoms:
```
La5Dy4Tm
1.0
3.5584 0.0000 0.0000
0.0152 9.0352 0.0000
0.0312 3.9608 10.6943
La Dy Tm
5 4 1
Direct
0.0000 0.0000 0.0000
0.4950 0.3780 0.9080
0.4990 0.2110 0.6753
0.5010 0.7890 0.3247
0.5050 0.6220 0.0920
0.0020 0.4138 0.3821
0.4976 0.7965 0.7776
0.5024 0.2035 0.2224
0.9980 0.5862 0.6179
0.0000 0.0000 0.5000
```

***

(8)
# NbTe2W2Se4
Theoretical powder X-ray diffraction pattern, copper Kα. Input: the PBE geometry in Alexandria.
No peak broadening, texture or thermal motion is included.

Top 10 peaks for 10 to 80 degrees two-theta, low angle first:
| 2theta | I_rel |
| --- | --- |
| 11.72 | 100.0 |
| 15.65 | 13.5 |
| 30.36 | 38.4 |
| 32.64 | 15.8 |
| 34.32 | 19.0 |
| 36.39 | 73.3 |
| 44.38 | 40.6 |
| 53.93 | 28.3 |
| 55.40 | 11.9 |
| 66.81 | 12.3 |

Cell and atoms:
```
NbTe2W2Se4
1.0
3.4001 0.0000 0.0000
-1.7000 2.9446 0.0000
0.0000 0.0000 22.6547
Nb Te W Se
1 2 2 4
Direct
0.0000 0.0000 0.0000
0.6667 0.3333 0.0881
0.6667 0.3333 0.9119
0.0000 0.0000 0.6427
0.6667 0.3333 0.3310
0.0000 0.0000 0.2579
0.0000 0.0000 0.4040
0.6667 0.3333 0.5697
0.6667 0.3333 0.7157
```

***

(9)
# HoUTl
Theoretical powder X-ray diffraction pattern, copper Kα. Input: the PBE geometry in Alexandria.
No peak broadening, texture or thermal motion is included.

Top 10 peaks for 10 to 80 degrees two-theta, low angle first:
| 2theta | I_rel |
| --- | --- |
| 27.14 | 15.5 |
| 32.90 | 81.1 |
| 33.33 | 100.0 |
| 35.53 | 67.8 |
| 36.96 | 44.0 |
| 52.21 | 42.4 |
| 62.69 | 34.0 |
| 64.31 | 15.5 |
| 65.93 | 28.9 |
| 68.20 | 15.2 |

Cell and atoms:
```
HoUTl
1.0
3.3342 0.0000 0.0000
0.0000 19.3544 0.0000
0.0000 0.0000 4.8637
Ho U Tl
4 4 4
Direct
0.0000 0.1245 0.2500
0.0000 0.8755 0.7500
0.5000 0.3755 0.7500
0.5000 0.6245 0.2500
0.0000 0.4738 0.2500
0.0000 0.5262 0.7500
0.5000 0.0262 0.7500
0.5000 0.9738 0.2500
0.0000 0.2972 0.2500
0.0000 0.7028 0.7500
0.5000 0.2028 0.7500
0.5000 0.7972 0.2500
```

***

(10)
# Nd8Ge3Se4
Theoretical powder X-ray diffraction pattern, copper Kα. Input: the PBE geometry in Alexandria.
No peak broadening, texture or thermal motion is included.

Top 10 peaks for 10 to 80 degrees two-theta, low angle first:
| 2theta | I_rel |
| --- | --- |
| 25.73 | 36.7 |
| 29.76 | 100.0 |
| 29.86 | 49.4 |
| 42.58 | 56.2 |
| 42.66 | 37.2 |
| 42.76 | 18.5 |
| 52.79 | 19.8 |
| 52.97 | 19.7 |
| 70.07 | 21.1 |
| 70.14 | 12.6 |

Cell and atoms:
```
Nd8Ge3Se4
1.0
5.9848 -6.0044 0.0000
5.9848 6.0044 0.0000
-5.9573 0.0000 6.0045
Nd Ge Se
8 3 4
Direct
0.2454 0.2454 0.0006
0.2457 0.2457 0.4963
0.2476 0.7524 0.0000
0.2501 0.7499 0.5000
0.7499 0.2501 0.5000
0.7524 0.2476 0.0000
0.7543 0.7543 0.5037
0.7546 0.7546 0.9994
0.0000 0.0000 0.0000
0.0000 0.5000 0.5000
0.5000 0.0000 0.5000
0.0000 0.5000 0.0000
0.5000 0.0000 0.0000
0.5000 0.5000 0.0000
0.5000 0.5000 0.5000
```

***

(11)
# Ca2AlAg3Sn4
Theoretical powder X-ray diffraction pattern, copper Kα. Input: the PBE geometry in Alexandria.
No peak broadening, texture or thermal motion is included.

Top 10 peaks for 10 to 80 degrees two-theta, low angle first:
| 2theta | I_rel |
| --- | --- |
| 21.22 | 71.3 |
| 29.39 | 40.8 |
| 31.88 | 100.0 |
| 40.60 | 69.5 |
| 40.75 | 82.1 |
| 41.48 | 43.6 |
| 58.77 | 23.1 |
| 59.44 | 29.4 |
| 68.43 | 21.5 |
| 73.97 | 29.2 |

Cell and atoms:
```
Ca2AlAg3Sn4
1.0
4.4441 0.0000 0.0000
0.0000 4.4441 0.0000
0.0000 0.0000 12.4841
Ca Al Ag Sn
2 1 3 4
Direct
0.0000 0.5000 0.2491
0.5000 0.0000 0.7509
0.5000 0.5000 0.0000
0.0000 0.0000 0.0000
0.0000 0.5000 0.6471
0.5000 0.0000 0.3529
0.0000 0.0000 0.5000
0.0000 0.5000 0.8618
0.5000 0.0000 0.1382
0.5000 0.5000 0.5000
```

***

(12)
# DySc3Zn2
Theoretical powder X-ray diffraction pattern, copper Kα. Input: the PBE geometry in Alexandria.
No peak broadening, texture or thermal motion is included.

Top 10 peaks for 10 to 80 degrees two-theta, low angle first:
| 2theta | I_rel |
| --- | --- |
| 10.27 | 48.5 |
| 18.77 | 17.6 |
| 31.30 | 35.1 |
| 33.52 | 22.8 |
| 34.17 | 21.6 |
| 34.64 | 30.7 |
| 35.15 | 100.0 |
| 36.63 | 55.9 |
| 38.06 | 44.3 |
| 52.40 | 18.2 |

Cell and atoms:
```
DySc3Zn2
1.0
4.7288 0.0000 0.0000
0.0000 8.6104 0.0000
0.0000 0.0000 6.4823
Dy Sc Zn
2 6 4
Direct
0.0000 0.0530 0.0000
0.0000 0.9470 0.5000
0.0000 0.3315 0.6518
0.0000 0.6685 0.1518
0.5000 0.1891 0.3143
0.5000 0.4462 0.9606
0.5000 0.5538 0.4606
0.5000 0.8109 0.8143
0.0000 0.3559 0.2175
0.0000 0.6441 0.7175
0.5000 0.1502 0.7446
0.5000 0.8498 0.2446
```